Starting from a GGA+U-relaxed structure, the X-ray diffraction stick pattern of YAlFeO4 was simulated for copper Kα.

Main lines, most intense first (10° ≤ 2θ ≤ 90°):
- 33.2 deg, intensity 100
- 17.8 deg, intensity 87
- 40.8 deg, intensity 80
- 59.7 deg, intensity 75
- 34.1 deg, intensity 50
- 34.3 deg, intensity 49
- 41.6 deg, intensity 37
- 17.2 deg, intensity 31
- 34.8 deg, intensity 25
- 60.7 deg, intensity 24

Atomic structure:
```
data_YAlFeO4
_chemical_formula_sum 'Y4 Al4 Fe4 O16'
_symmetry_space_group_name_H-M 'I m m a'
_symmetry_Int_Tables_number 74
_symmetry_space_group_name_Hall '-I 2b 2'
_cell_length_a 6.1022
_cell_length_b 6.4150
_cell_length_c 8.6770
_cell_angle_alpha 90.00
_cell_angle_beta 90.00
_cell_angle_gamma 90.00
loop_
_atom_site_label
_atom_site_fract_x
_atom_site_fract_y
_atom_site_fract_z
Y1 0.0000 0.0000 0.0000
Al1 0.0000 0.2500 0.3774
Fe1 0.2500 0.2500 0.7500
O1 0.0000 0.0098 0.2617
O2 0.2399 0.2500 0.5013
```